Calculated PXRD pattern
Compound: Mg14FeCuO16
Radiation: Cu Kα, 1.54184 Å
Structure: a crystal structure in the Materials Project, relaxed with PBE+U
No peak broadening, texture or thermal motion is included.

Most intense lines, 10° ≤ 2θ ≤ 80°, low angle first:
- 2θ 36.42, I = 28
- 2θ 42.18, I = 100
- 2θ 42.56, I = 49
- 2θ 61.17, I = 28
- 2θ 61.47, I = 56
- 2θ 77.37, I = 25

Cell and atoms:
abc: 8.5704 8.5704 4.2481
angles: 90.00 90.00 90.00
Sites, in units of the cell vectors:
Mg: 0.0000 0.2472 0.0000
Mg: 0.0000 0.5000 0.5000
Mg: 0.0000 0.7528 0.0000
Mg: 0.2454 0.2454 0.5000
Mg: 0.2454 0.7546 0.5000
Mg: 0.2472 0.0000 0.0000
Mg: 0.2466 0.5000 0.0000
Mg: 0.5000 0.0000 0.5000
Mg: 0.5000 0.2466 0.0000
Mg: 0.5000 0.7534 0.0000
Mg: 0.7528 0.0000 0.0000
Mg: 0.7534 0.5000 0.0000
Mg: 0.7546 0.2454 0.5000
Mg: 0.7546 0.7546 0.5000
Fe: 0.5000 0.5000 0.5000
Cu: 0.0000 0.0000 0.5000
O: 0.0000 0.0000 0.0000
O: 0.0000 0.2628 0.5000
O: 0.0000 0.5000 0.0000
O: 0.0000 0.7372 0.5000
O: 0.2506 0.2506 0.0000
O: 0.2506 0.7494 0.0000
O: 0.2553 0.5000 0.5000
O: 0.2628 0.0000 0.5000
O: 0.5000 0.0000 0.0000
O: 0.5000 0.2553 0.5000
O: 0.5000 0.5000 0.0000
O: 0.5000 0.7447 0.5000
O: 0.7372 0.0000 0.5000
O: 0.7447 0.5000 0.5000
O: 0.7494 0.2506 0.0000
O: 0.7494 0.7494 0.0000